1.
Diffraction record for V5FeP6O24. The powder diffractogram is simulated, not measured: it uses a crystal structure in the Materials Project, relaxed with GGA+U and a wavelength of 1.5418 Å.

Main lines, by angle (2θ from 5° to 70°):
d/Å	I/Imax
4.313	65.4
3.670	100.0
3.518	13.1
2.798	15.9
2.714	59.5
2.490	33.1
1.920	25.5
1.835	22.8
1.630	21.7
1.477	15.9

Atomic structure:
```
V5FeP6O24
1.0
4.3129 2.4901 6.9846
-4.3129 2.4901 6.9846
0.0000 -4.9801 6.9846
V Fe P O
5 1 6 24
Direct
0.0000 0.0000 0.0000
0.1439 0.1439 0.1439
0.2880 0.2880 0.2880
0.5001 0.5001 0.5001
0.6442 0.6442 0.6442
0.7889 0.7889 0.7889
0.1000 0.6864 0.3936
0.1869 0.6006 0.8934
0.3936 0.1000 0.6864
0.6006 0.8934 0.1869
0.6864 0.3936 0.1000
0.8934 0.1869 0.6006
0.0308 0.6357 0.8324
0.0574 0.2059 0.4043
0.0838 0.8831 0.2297
0.1427 0.5288 0.3267
0.1485 0.7601 0.9553
0.2059 0.4043 0.0574
0.2297 0.0838 0.8831
0.2592 0.6490 0.4542
0.3267 0.1427 0.5288
0.3845 0.5842 0.7314
0.4043 0.0574 0.2059
0.4542 0.2592 0.6490
0.5288 0.3267 0.1427
0.5543 0.9051 0.7002
0.5842 0.7314 0.3845
0.6357 0.8324 0.0308
0.6490 0.4542 0.2592
0.7002 0.5543 0.9051
0.7314 0.3845 0.5842
0.7601 0.9553 0.1485
0.8324 0.0308 0.6357
0.8831 0.2297 0.0838
0.9051 0.7002 0.5543
0.9553 0.1485 0.7601
```


2.
Diffraction record for MnP2O10. The powder diffractogram is simulated, not measured: it uses a crystal structure in the Materials Project, relaxed with GGA+U and a wavelength of 1.5418 Å.

Main lines, by angle (2θ from 5° to 70°):
d/Å	I/Imax
5.386	58.3
4.501	70.4
4.033	100.0
3.834	45.1
3.381	37.3
3.166	42.8
3.069	88.9
2.771	35.6
2.710	41.4
2.649	29.9

Atomic structure:
```
MnP2O10
1.0
5.2317 0.0000 0.0000
0.0000 8.8682 0.0000
-4.8621 0.0000 6.7789
Mn P O
2 4 20
Direct
0.0000 0.0000 0.0000
0.0000 0.5000 0.5000
0.3850 0.1885 0.6560
0.3850 0.3115 0.1560
0.6150 0.6885 0.8440
0.6150 0.8115 0.3440
0.0916 0.5558 0.3178
0.0916 0.9442 0.8178
0.1163 0.1322 0.6663
0.1163 0.3678 0.1663
0.2777 0.6614 0.6591
0.2777 0.8386 0.1591
0.3524 0.1363 0.1282
0.3524 0.3637 0.6282
0.3615 0.1240 0.4735
0.3615 0.3760 0.9735
0.6385 0.6240 0.0265
0.6385 0.8760 0.5265
0.6476 0.6363 0.3718
0.6476 0.8637 0.8718
0.7223 0.1614 0.8409
0.7223 0.3386 0.3409
0.8837 0.6322 0.8337
0.8837 0.8678 0.3337
0.9084 0.0558 0.1822
0.9084 0.4442 0.6822
```


3.
Diffraction record for Li9Mn2Co5O16. The powder diffractogram is simulated, not measured: it uses a crystal structure in the Materials Project, relaxed with GGA+U and a wavelength of 1.5418 Å.

Main lines, by angle (2θ from 5° to 70°):
d/Å	I/Imax
4.857	100.0
2.518	14.1
2.489	26.1
2.099	28.5
2.073	54.1
1.911	8.7
1.604	9.3
1.483	7.8
1.479	7.6
1.471	7.4

Atomic structure:
```
Li9Mn2Co5O16
1.0
5.1365 0.0000 0.0000
-1.6736 7.5347 0.0000
-1.6123 -1.5709 7.4587
Li Mn Co O
9 2 5 16
Direct
0.0000 0.0000 0.0000
0.9995 0.1243 0.3736
0.0000 0.5000 0.5000
0.0005 0.8757 0.6264
0.0043 0.3807 0.1193
0.0096 0.2522 0.7558
0.5000 0.5000 0.0000
0.9904 0.7478 0.2442
0.9957 0.6193 0.8807
0.4948 0.2506 0.2483
0.5052 0.7494 0.7517
0.4927 0.8635 0.1217
0.4956 0.3760 0.6305
0.5000 0.0000 0.5000
0.5044 0.6240 0.3695
0.5073 0.1365 0.8783
0.2612 0.6437 0.1343
0.2673 0.1242 0.6257
0.2721 0.2441 0.0163
0.2729 0.0143 0.2561
0.2730 0.3731 0.3694
0.2757 0.5078 0.7401
0.2811 0.7490 0.5119
0.2821 0.8766 0.8693
0.7179 0.1234 0.1307
0.7189 0.2510 0.4881
0.7243 0.4922 0.2599
0.7270 0.6269 0.6306
0.7271 0.9857 0.7439
0.7279 0.7559 0.9837
0.7327 0.8758 0.3743
0.7388 0.3563 0.8657
```


4.
Diffraction record for Li2Ti3CoO8. The powder diffractogram is simulated, not measured: it uses a crystal structure in the Materials Project, relaxed with GGA+U and a wavelength of 1.5418 Å.

Main lines, by angle (2θ from 5° to 70°):
d/Å	I/Imax
4.857	75.4
4.219	37.2
2.977	35.5
2.547	100.0
2.538	17.5
2.110	40.2
1.625	24.3
1.621	20.5
1.495	30.7
1.489	27.4

Atomic structure:
```
Li2Ti3CoO8
1.0
2.9893 1.7259 4.8525
-2.9893 1.7259 4.8525
0.0000 -3.4518 4.8525
Li Ti Co O
2 3 1 8
Direct
0.0000 0.0000 0.0000
0.3816 0.3816 0.3816
0.0023 0.0023 0.4935
0.0023 0.4935 0.0023
0.4935 0.0023 0.0023
0.6179 0.6179 0.6179
0.2136 0.7536 0.7536
0.2413 0.2413 0.2413
0.2497 0.2497 0.7919
0.2497 0.7919 0.2497
0.7536 0.2136 0.7536
0.7536 0.7536 0.2136
0.7584 0.7584 0.7584
0.7919 0.2497 0.2497
```


5.
Diffraction record for Ca2FeSbO6. The powder diffractogram is simulated, not measured: it uses a crystal structure in the Materials Project, relaxed with GGA+U and a wavelength of 1.5418 Å.

Main lines, by angle (2θ from 5° to 70°):
d/Å	I/Imax
3.942	36.0
3.903	16.0
2.825	24.9
2.774	100.0
2.751	23.4
1.974	15.9
1.968	14.6
1.951	16.6
1.621	16.9
1.592	36.1

Atomic structure:
```
Ca2FeSbO6
1.0
5.5029 0.0000 0.0000
0.0000 7.8057 0.0000
-0.0180 0.0000 5.6510
Ca Fe Sb O
4 2 2 12
Direct
0.0009 0.2500 0.0412
0.4809 0.7500 0.4354
0.5191 0.2500 0.5646
0.9991 0.7500 0.9588
0.5000 0.0000 0.0000
0.5000 0.5000 0.0000
0.0000 0.0000 0.5000
0.0000 0.5000 0.5000
0.1038 0.2500 0.4648
0.1928 0.5498 0.2089
0.1928 0.9502 0.2089
0.2933 0.5486 0.6967
0.2933 0.9514 0.6967
0.4179 0.2500 0.9708
0.5821 0.7500 0.0292
0.7067 0.0486 0.3033
0.7067 0.4514 0.3033
0.8072 0.0498 0.7911
0.8072 0.4502 0.7911
0.8962 0.7500 0.5352
```


6.
Diffraction record for Li2Mn2FeO6. The powder diffractogram is simulated, not measured: it uses a crystal structure in the Materials Project, relaxed with GGA+U and a wavelength of 1.5418 Å.

Main lines, by angle (2θ from 5° to 70°):
d/Å	I/Imax
5.137	100.0
2.607	8.5
2.484	26.8
2.325	16.9
2.292	7.5
2.051	32.3
1.830	12.3
1.602	17.9
1.480	15.5
1.413	4.9

Atomic structure:
```
Li2Mn2FeO6
1.0
2.6072 -4.4088 0.0000
2.6072 4.4088 0.0000
-0.0021 0.0000 10.2731
Li Mn Fe O
4 4 2 12
Direct
0.1107 0.1099 0.2501
0.3788 0.3788 0.7502
0.6212 0.6212 0.2498
0.8901 0.8893 0.7499
0.0840 0.9160 0.5000
0.4101 0.5899 0.5000
0.5912 0.4088 0.0000
0.9179 0.0821 0.0000
0.2492 0.7508 0.0000
0.7519 0.2481 0.5000
0.0670 0.2088 0.6107
0.0868 0.5942 0.4033
0.2107 0.0646 0.8894
0.2545 0.4015 0.1019
0.4034 0.2523 0.3986
0.4058 0.9132 0.5967
0.5955 0.0837 0.0960
0.5985 0.7455 0.8981
0.7477 0.5966 0.6014
0.7912 0.9330 0.3893
0.9163 0.4045 0.9040
0.9354 0.7893 0.1106
```